Starting from a structure optimized by DFT (PBE), the powder XRD pattern of PbS2O3 was simulated for copper Kα.
No peak broadening, texture or thermal motion is included.

The 6 most intense peaks (10 to 90 degrees two-theta), by angle:
| h k l | 2θ/deg | d/Å | Rel. int. |
| --- | --- | --- | --- |
| 1 2 1 | 20.5 | 4.326 | 90 |
| 0 4 0 | 21.6 | 4.109 | 100 |
| 0 0 2 | 24.3 | 3.661 | 77 |
| 2 3 0 | 30.1 | 2.972 | 57 |
| 0 4 2 | 32.8 | 2.734 | 55 |
| 1 6 1 | 37.3 | 2.411 | 81 |

Crystal structure
```
data_PbS2O3
_space_group_name_H-M_alt 'P b c a'
_space_group_IT_number 61
_cell_length_a 7.077
_cell_length_b 16.435
_cell_length_c 7.322
_cell_angle_alpha 90.00
_cell_angle_beta 90.00
_cell_angle_gamma 90.00
loop_
_space_group_symop_operation_xyz
'x,y,z'
'-x,-y,-z'
'-x+1/2,-y,z+1/2'
'x+1/2,y,-z+1/2'
'x+1/2,-y+1/2,-z'
'-x+1/2,y+1/2,z'
'-x,y+1/2,-z+1/2'
'x,-y+1/2,z+1/2'
loop_
_atom_site_label
_atom_site_type_symbol
_atom_site_fract_x
_atom_site_fract_y
_atom_site_fract_z
_atom_site_occupancy
Pb1 Pb 0.154 0.123 0.028 1
S1 S 0.171 0.107 0.501 1
S2 S 0.196 0.708 0.392 1
O1 O 0.040 0.077 0.358 1
O2 O 0.066 0.129 0.667 1
O3 O 0.174 0.548 0.536 1
```

---

Starting from a structure optimized by DFT (PBE), the powder XRD pattern of Sb2Pb2O7 was simulated for copper Kα.
No peak broadening, texture or thermal motion is included.

The 6 most intense peaks (10 to 90 degrees two-theta), by angle:
| h k l | 2θ/deg | d/Å | Rel. int. |
| --- | --- | --- | --- |
| 2 2 2 | 28.8 | 3.100 | 100 |
| 4 0 0 | 33.4 | 2.685 | 35 |
| 4 4 0 | 47.9 | 1.899 | 49 |
| 6 2 2 | 56.9 | 1.619 | 45 |
| 6 6 2 | 77.5 | 1.232 | 19 |
| 8 4 4 | 89.4 | 1.096 | 16 |

Crystal structure
Cell lengths 10.740, 10.740, 10.740 Å; angles 90.00, 90.00, 90.00 degrees
Space group Fd-3m (No. 227, origin choice 2)
Unique sites:
Sb1 0.000 0.000 0.000
Pb1 0.000 0.000 0.500
O1 0.098 0.375 0.375
O2 0.125 0.125 0.125

---

Starting from a structure optimized by DFT (PBE), the powder XRD pattern of Sb2Pb2O7 was simulated for copper Kα.
No peak broadening, texture or thermal motion is included.

The 6 most intense peaks (10 to 90 degrees two-theta), by angle:
| h k l | 2θ/deg | d/Å | Rel. int. |
| --- | --- | --- | --- |
| 2 2 2 | 28.5 | 3.134 | 100 |
| 4 0 0 | 33.0 | 2.714 | 38 |
| 4 4 0 | 47.4 | 1.919 | 44 |
| 6 2 2 | 56.2 | 1.637 | 46 |
| 6 6 2 | 76.5 | 1.245 | 19 |
| 8 4 0 | 78.9 | 1.214 | 17 |

Crystal structure
Cell lengths 10.856, 10.856, 10.856 Å; angles 90.00, 90.00, 90.00 degrees
Space group Fd-3m (No. 227, origin choice 2)
Unique sites:
Sb1 0.000 0.000 0.000
Pb1 0.000 0.000 0.500
O1 0.067 0.375 0.375
O2 0.125 0.125 0.625

---

Starting from a structure optimized by DFT (PBE), the powder XRD pattern of ScSbPb2O6 was simulated for copper Kα.
No peak broadening, texture or thermal motion is included.

The 6 most intense peaks (10 to 90 degrees two-theta), by angle:
| h k l | 2θ/deg | d/Å | Rel. int. |
| --- | --- | --- | --- |
| 1 0 1 | 21.7 | 4.096 | 20 |
| 1 2 1 | 30.9 | 2.897 | 100 |
| 2 0 0 | 30.9 | 2.890 | 20 |
| 2 0 2 | 44.2 | 2.048 | 34 |
| 1 2 3 | 54.8 | 1.674 | 24 |
| 3 2 1 | 55.0 | 1.670 | 24 |

Crystal structure
```
data_ScSbPb2O6
_space_group_name_H-M_alt 'I m m 2'
_space_group_IT_number 44
_cell_length_a 5.779
_cell_length_b 8.187
_cell_length_c 5.808
_cell_angle_alpha 90.00
_cell_angle_beta 90.00
_cell_angle_gamma 90.00
loop_
_space_group_symop_operation_xyz
'x,y,z'
'-x,-y,z'
'-x,y,z'
'x,-y,z'
'x+1/2,y+1/2,z+1/2'
'-x+1/2,-y+1/2,z+1/2'
'-x+1/2,y+1/2,z+1/2'
'x+1/2,-y+1/2,z+1/2'
loop_
_atom_site_label
_atom_site_type_symbol
_atom_site_fract_x
_atom_site_fract_y
_atom_site_fract_z
_atom_site_occupancy
Sc1 Sc 0.000 0.000 0.000 1
Sb1 Sb 0.000 0.500 0.994 1
Pb1 Pb 0.000 0.241 0.516 1
O1 O 0.000 0.256 0.984 1
O2 O 0.243 0.500 0.748 1
O3 O 0.248 0.000 0.728 1
```

---

Starting from a structure optimized by DFT (PBE), the powder XRD pattern of Sn2Sb2Pb4O13 was simulated for copper Kα.
No peak broadening, texture or thermal motion is included.

The 6 most intense peaks (10 to 90 degrees two-theta), by angle:
| h k l | 2θ/deg | d/Å | Rel. int. |
| --- | --- | --- | --- |
| 2 0 2 | 28.8 | 3.097 | 100 |
| 2 2 0 | 33.4 | 2.682 | 39 |
| 0 4 0 | 47.9 | 1.898 | 37 |
| 2 0 6 | 56.9 | 1.619 | 31 |
| 4 2 2 | 57.0 | 1.615 | 15 |
| 2 4 6 | 77.5 | 1.232 | 10 |

Crystal structure
```
data_Sn2Sb2Pb4O13
_space_group_name_H-M_alt 'I m m 2'
_space_group_IT_number 44
_cell_length_a 7.569
_cell_length_b 7.600
_cell_length_c 10.737
_cell_angle_alpha 90.00
_cell_angle_beta 90.00
_cell_angle_gamma 90.00
loop_
_space_group_symop_operation_xyz
'x,y,z'
'-x,-y,z'
'-x,y,z'
'x,-y,z'
'x+1/2,y+1/2,z+1/2'
'-x+1/2,-y+1/2,z+1/2'
'-x+1/2,y+1/2,z+1/2'
'x+1/2,-y+1/2,z+1/2'
loop_
_atom_site_label
_atom_site_type_symbol
_atom_site_fract_x
_atom_site_fract_y
_atom_site_fract_z
_atom_site_occupancy
Sn1 Sn 0.250 0.000 0.000 1
Sb1 Sb 0.000 0.250 0.250 1
Pb1 Pb 0.000 0.251 0.751 1
Pb2 Pb 0.248 0.500 0.000 1
O1 O 0.000 0.000 0.320 1
O2 O 0.000 0.000 0.623 1
O3 O 0.000 0.000 0.920 1
O4 O 0.000 0.500 0.183 1
O5 O 0.000 0.500 0.578 1
O6 O 0.193 0.297 0.374 1
O7 O 0.195 0.205 0.127 1
```